No. 1
The following is a theoretical X-ray powder pattern of Li2CoP2O7. It was derived from a cell relaxed with PBE+U, using Cu Kα X-rays.

Main lines, low angle first (2θ = 15–90°):
hkl 1 -1 1, 2θ = 20.73°, I 55; hkl 1 2 -1, 2θ = 23.68°, I 100; hkl -1 1 1, 2θ = 26.56°, I 30; hkl 2 1 2, 2θ = 26.82°, I 13; hkl 1 0 3, 2θ = 27.08°, I 13; hkl 2 0 2, 2θ = 28.41°, I 56; hkl 1 1 3, 2θ = 28.67°, I 26; hkl 1 2 3, 2θ = 34.24°, I 18; hkl 1 1 -3, 2θ = 35.36°, I 33; hkl 1 5 1, 2θ = 54.66°, I 13

Structural model:
Cell: 7.1930 8.7888 9.9922 Å, 89.96 70.32 66.27°
Space group P1 (No. 1)
Inequivalent atoms, fractional coordinates:
Li 0.0000 0.0000 0.0000 [1 per cell]
Li 0.0182 0.7437 0.5463 [1 per cell]
Li 0.4269 0.7648 0.7756 [1 per cell]
Li 0.4510 0.5082 0.3215 [1 per cell]
Li 0.4923 0.0017 0.5131 [1 per cell]
Li 0.5247 0.7443 0.0432 [1 per cell]
Li 0.9271 0.7646 0.2770 [1 per cell]
Li 0.9525 0.5130 0.8226 [1 per cell]
Co 0.0399 0.0895 0.6590 [1 per cell]
Co 0.4072 0.4185 0.6528 [1 per cell]
Co 0.5428 0.0873 0.1693 [1 per cell]
Co 0.9100 0.4157 0.1505 [1 per cell]
P 0.1710 0.3613 0.4565 [1 per cell]
P 0.2143 0.6092 0.9770 [1 per cell]
P 0.2373 0.8985 0.3472 [1 per cell]
P 0.2773 0.1472 0.8639 [1 per cell]
P 0.6784 0.3577 0.9530 [1 per cell]
P 0.7096 0.6106 0.4744 [1 per cell]
P 0.7383 0.9024 0.8435 [1 per cell]
P 0.7762 0.1468 0.3664 [1 per cell]
O 0.0208 0.0687 0.3638 [1 per cell]
O 0.0363 0.5927 0.1060 [1 per cell]
O 0.1302 0.1888 0.0242 [1 per cell]
O 0.1805 0.6040 0.8340 [1 per cell]
O 0.1933 0.7456 0.3245 [1 per cell]
O 0.1968 0.2120 0.5363 [1 per cell]
O 0.2019 0.4995 0.5326 [1 per cell]
O 0.2437 0.3008 0.7894 [1 per cell]
O 0.2519 0.0082 0.7861 [1 per cell]
O 0.2576 0.7622 0.0016 [1 per cell]
O 0.2688 0.9074 0.4915 [1 per cell]
O 0.3251 0.3141 0.2981 [1 per cell]
O 0.4163 0.9126 0.2180 [1 per cell]
O 0.4314 0.4393 0.9606 [1 per cell]
O 0.5240 0.0729 0.8577 [1 per cell]
O 0.5334 0.5936 0.6040 [1 per cell]
O 0.6240 0.1891 0.5253 [1 per cell]
O 0.6758 0.6045 0.3314 [1 per cell]
O 0.6963 0.7491 0.8178 [1 per cell]
O 0.7046 0.2129 0.0378 [1 per cell]
O 0.7149 0.4980 0.0222 [1 per cell]
O 0.7482 0.2997 0.2914 [1 per cell]
O 0.7500 0.0089 0.2870 [1 per cell]
O 0.7535 0.7633 0.4992 [1 per cell]
O 0.7689 0.9087 0.9876 [1 per cell]
O 0.8241 0.3066 0.7929 [1 per cell]
O 0.9191 0.9169 0.7152 [1 per cell]
O 0.9283 0.4409 0.4572 [1 per cell]



No. 2
The following is a theoretical X-ray powder pattern of LiCoP3O9. It was derived from a cell relaxed with PBE+U, using Cu Kα X-rays.

Main lines, low angle first (2θ = 15–90°):
hkl 0 0 2, 2θ = 20.27°, I 21; hkl 1 0 2, 2θ = 22.86°, I 100; hkl 1 2 0, 2θ = 23.11°, I 75; hkl 2 1 0, 2θ = 23.40°, I 22; hkl 1 2 1, 2θ = 25.27°, I 19; hkl 2 1 1, 2θ = 25.55°, I 36; hkl 0 1 3, 2θ = 32.35°, I 33; hkl 1 3 0, 2θ = 32.84°, I 43; hkl 3 0 1, 2θ = 33.37°, I 35; hkl 0 5 3, 2θ = 62.39°, I 20

Structural model:
Cell: 8.4629 8.6425 8.7632 Å, 90.00 90.00 90.00°
Space group P2_12_12_1 (No. 19)
Inequivalent atoms, fractional coordinates:
Li 0.1523 0.1350 0.3846 [4 per cell]
Co 0.1287 0.8551 0.1596 [4 per cell]
P 0.0297 0.3208 0.6826 [4 per cell]
P 0.1861 0.4790 0.1889 [4 per cell]
P 0.2022 0.8096 0.5604 [4 per cell]
O 0.0403 0.7744 0.6535 [4 per cell]
O 0.0905 0.6136 0.1317 [4 per cell]
O 0.1028 0.8725 0.9194 [4 per cell]
O 0.1184 0.3843 0.3183 [4 per cell]
O 0.1335 0.1926 0.6236 [4 per cell]
O 0.1394 0.4646 0.7358 [4 per cell]
O 0.1591 0.8624 0.4033 [4 per cell]
O 0.1896 0.0916 0.1558 [4 per cell]
O 0.2260 0.3637 0.0483 [4 per cell]



No. 3
The following is a theoretical X-ray powder pattern of LiCoP2O7. It was derived from a cell relaxed with PBE+U, using Cu Kα X-rays.

Main lines, low angle first (2θ = 15–90°):
hkl 1 0 1, 2θ = 20.27°, I 45; hkl -1 1 2, 2θ = 20.49°, I 42; hkl 1 -1 2, 2θ = 22.60°, I 26; hkl 1 0 -3, 2θ = 22.77°, I 25; hkl 1 -2 1, 2θ = 25.79°, I 60; hkl 0 2 2, 2θ = 26.57°, I 33; hkl 1 0 3, 2θ = 26.70°, I 100; hkl -1 1 4, 2θ = 27.03°, I 97; hkl 0 1 -5, 2θ = 28.81°, I 48; hkl 1 0 -5, 2θ = 30.54°, I 21

Structural model:
Cell: 5.0564 8.0109 16.6594 Å, 91.46 98.12 108.07°
Space group P1 (No. 1)
Inequivalent atoms, fractional coordinates:
Li 0.0000 0.0000 0.0000 [1 per cell]
Li 0.1051 0.7535 0.7522 [1 per cell]
Li 0.4959 0.5015 0.5025 [1 per cell]
Li 0.6044 0.2504 0.2518 [1 per cell]
Co 0.2698 0.8667 0.2768 [1 per cell]
Co 0.4677 0.1170 0.5278 [1 per cell]
Co 0.7659 0.3739 0.7741 [1 per cell]
Co 0.9763 0.6152 0.0252 [1 per cell]
P 0.0350 0.4155 0.6163 [1 per cell]
P 0.0902 0.1685 0.3671 [1 per cell]
P 0.4088 0.5726 0.1724 [1 per cell]
P 0.4456 0.3231 0.9210 [1 per cell]
P 0.5398 0.9164 0.1149 [1 per cell]
P 0.5902 0.6661 0.8663 [1 per cell]
P 0.8990 0.0766 0.6757 [1 per cell]
P 0.9371 0.8250 0.4251 [1 per cell]
O 0.0359 0.9441 0.7011 [1 per cell]
O 0.0508 0.7604 0.3525 [1 per cell]
O 0.1272 0.2421 0.6408 [1 per cell]
O 0.1650 0.5074 0.0996 [1 per cell]
O 0.1897 0.9081 0.4940 [1 per cell]
O 0.2043 0.1910 0.9476 [1 per cell]
O 0.2493 0.8433 0.0576 [1 per cell]
O 0.2522 0.0951 0.3088 [1 per cell]
O 0.2677 0.5373 0.5810 [1 per cell]
O 0.2980 0.2442 0.4478 [1 per cell]
O 0.3027 0.6563 0.2413 [1 per cell]
O 0.3515 0.4933 0.8915 [1 per cell]
O 0.4426 0.7853 0.8292 [1 per cell]
O 0.4875 0.9926 0.1963 [1 per cell]
O 0.5447 0.2554 0.8459 [1 per cell]
O 0.5514 0.4427 0.1977 [1 per cell]
O 0.6332 0.7419 0.1392 [1 per cell]
O 0.6569 0.0117 0.6020 [1 per cell]
O 0.6899 0.6951 0.4500 [1 per cell]
O 0.7040 0.4059 0.9883 [1 per cell]
O 0.7462 0.3456 0.5587 [1 per cell]
O 0.7516 0.5941 0.8063 [1 per cell]
O 0.7706 0.0350 0.0777 [1 per cell]
O 0.7912 0.1581 0.7447 [1 per cell]
O 0.8026 0.7425 0.9458 [1 per cell]
O 0.8489 0.9946 0.3920 [1 per cell]
O 0.9399 0.2869 0.3304 [1 per cell]
O 0.9827 0.4937 0.6981 [1 per cell]



No. 4
The following is a theoretical X-ray powder pattern of Li2CoP2O7. It was derived from a cell relaxed with PBE+U, using Cu Kα X-rays.

Main lines, low angle first (2θ = 15–90°):
hkl 0 1 2, 2θ = 22.03°, I 100; hkl 2 0 0, 2θ = 23.70°, I 64; hkl 2 1 -2, 2θ = 28.45°, I 10; hkl 1 1 -4, 2θ = 30.73°, I 48; hkl 3 0 -2, 2θ = 33.13°, I 11; hkl 0 2 0, 2θ = 35.06°, I 28; hkl 1 0 -6, 2θ = 38.28°, I 23; hkl 0 1 5, 2θ = 38.57°, I 12; hkl 3 1 -4, 2θ = 40.17°, I 12; hkl 0 3 2, 2θ = 55.65°, I 10

Structural model:
Cell: 8.1110 5.1195 14.1703 Å, 90.00 112.25 90.00°
Space group P2_1/c (No. 14)
Inequivalent atoms, fractional coordinates:
Li 0.0241 0.1829 0.1784 [4 per cell]
Li 0.4254 0.2192 0.1618 [4 per cell]
Co 0.2766 0.2132 0.8781 [4 per cell]
P 0.1876 0.7066 0.1924 [4 per cell]
P 0.3012 0.7114 0.0213 [4 per cell]
O 0.0027 0.7295 0.6935 [4 per cell]
O 0.1539 0.7479 0.5727 [4 per cell]
O 0.2164 0.6557 0.4178 [4 per cell]
O 0.2371 0.0833 0.7161 [4 per cell]
O 0.3238 0.0848 0.5133 [4 per cell]
O 0.3300 0.6038 0.7571 [4 per cell]
O 0.4670 0.6449 0.5933 [4 per cell]



No. 5
The following is a theoretical X-ray powder pattern of LiCoP3O9. It was derived from a cell relaxed with PBE+U, using Cu Kα X-rays.

Main lines, low angle first (2θ = 15–90°):
hkl 1 -1 0, 2θ = 18.77°, I 100; hkl 1 1 1, 2θ = 24.68°, I 23; hkl 1 1 -2, 2θ = 28.58°, I 52; hkl 1 0 2, 2θ = 29.00°, I 36; hkl 2 0 -1, 2θ = 29.49°, I 42; hkl 2 -1 0, 2θ = 30.16°, I 42; hkl 2 0 1, 2θ = 30.65°, I 67; hkl 0 2 1, 2θ = 31.70°, I 75; hkl 0 2 -2, 2θ = 32.44°, I 68; hkl 0 4 -1, 2θ = 53.31°, I 27

Structural model:
Cell: 6.5412 6.8757 7.3437 Å, 102.15 92.65 90.59°
Space group P1 (No. 1)
Inequivalent atoms, fractional coordinates:
Li 0.0000 0.0000 0.0000 [1 per cell]
Li 0.2890 0.1566 0.6606 [1 per cell]
Co 0.2946 0.6664 0.6887 [1 per cell]
Co 0.9919 0.4885 0.9706 [1 per cell]
P 0.0042 0.3570 0.3829 [1 per cell]
P 0.2834 0.7992 0.2784 [1 per cell]
P 0.4833 0.4652 0.0457 [1 per cell]
P 0.4924 0.0227 0.0323 [1 per cell]
P 0.7967 0.1327 0.6297 [1 per cell]
P 0.8041 0.6906 0.6153 [1 per cell]
O 0.0266 0.3013 0.1750 [1 per cell]
O 0.0933 0.7688 0.1500 [1 per cell]
O 0.1946 0.3873 0.5114 [1 per cell]
O 0.2610 0.8547 0.4863 [1 per cell]
O 0.3111 0.4761 0.8995 [1 per cell]
O 0.3195 0.9504 0.8866 [1 per cell]
O 0.4196 0.6022 0.2408 [1 per cell]
O 0.4322 0.9645 0.2271 [1 per cell]
O 0.4705 0.2583 0.1068 [1 per cell]
O 0.5834 0.1870 0.6717 [1 per cell]
O 0.5935 0.6340 0.6525 [1 per cell]
O 0.6941 0.5217 0.0082 [1 per cell]
O 0.7062 0.9696 0.9914 [1 per cell]
O 0.8168 0.8973 0.5538 [1 per cell]
O 0.8564 0.1917 0.4351 [1 per cell]
O 0.8681 0.5537 0.4203 [1 per cell]
O 0.9704 0.2031 0.7752 [1 per cell]
O 0.9767 0.6801 0.7611 [1 per cell]



No. 6
The following is a theoretical X-ray powder pattern of LiCo2P2O8. It was derived from a cell relaxed with PBE+U, using Cu Kα X-rays.

Main lines, low angle first (2θ = 15–90°):
hkl 1 1 1, 2θ = 21.69°, I 100; hkl 0 2 2, 2θ = 34.84°, I 24; hkl 2 2 0, 2θ = 35.17°, I 24; hkl 1 3 1, 2θ = 39.46°, I 8; hkl 1 1 -3, 2θ = 43.29°, I 8; hkl 3 1 1, 2θ = 43.85°, I 8; hkl 1 3 3, 2θ = 55.21°, I 7; hkl 3 3 -1, 2θ = 55.65°, I 7; hkl 2 4 2, 2θ = 61.24°, I 12; hkl 2 2 4, 2θ = 65.51°, I 5

Structural model:
Cell: 6.7617 7.7804 6.8706 Å, 90.00 90.06 90.00°
Space group C2 (No. 5)
Inequivalent atoms, fractional coordinates:
Li 0.0000 0.0000 0.0000 [2 per cell]
Co 0.0000 0.0032 0.5000 [2 per cell]
Co 0.0000 0.5052 0.0000 [2 per cell]
P 0.2503 0.2521 0.2489 [4 per cell]
O 0.0537 0.6519 0.7944 [4 per cell]
O 0.0710 0.1282 0.2531 [4 per cell]
O 0.2256 0.3754 0.0663 [4 per cell]
O 0.2264 0.8549 0.5639 [4 per cell]